[1]
BaAlF5: calculated powder X-ray diffraction pattern (Cu Kα), based on a DFT-relaxed cell (PBE, the Materials Project).
Neutral-atom scattering factors, no anomalous dispersion.

```
data_BaAlF5
_symmetry_space_group_name_H-M 'P 21 21 21'
_symmetry_Int_Tables_number 19
_symmetry_space_group_name_Hall 'P 2ac 2ab'
_cell_length_a 5.0906
_cell_length_b 5.6827
_cell_length_c 13.9406
_cell_angle_alpha 90.00
_cell_angle_beta 90.00
_cell_angle_gamma 90.00
loop_
_atom_site_label
_atom_site_type_symbol
_atom_site_fract_x
_atom_site_fract_y
_atom_site_fract_z
_atom_site_occupancy
Ba1 Ba 0.2348 0.1607 0.3456 1
Al1 Al 0.1922 0.1564 0.0864 1
F1 F 0.0350 0.8321 0.4956 1
F2 F 0.0740 0.6470 0.3255 1
F3 F 0.0777 0.8942 0.0281 1
F4 F 0.1119 0.0171 0.6689 1
F5 F 0.2030 0.5728 0.6408 1
```

Largest 10 diffraction maxima, most intense first, 2θ from 10° to 90°:
- d 3.659, I 100
- d 2.189, I 43
- d 3.597, I 40
- d 3.792, I 38
- d 4.111, I 34
- d 2.246, I 31
- d 2.876, I 29
- d 2.784, I 28
- d 3.485, I 27
- d 2.078, I 22

---

[2]
Ba3AlF9: calculated powder X-ray diffraction pattern (Cu Kα), based on a DFT-relaxed cell (PBE, the Materials Project).
Neutral-atom scattering factors, no anomalous dispersion.

```
data_Ba3AlF9
_symmetry_space_group_name_H-M 'P n m a'
_symmetry_Int_Tables_number 62
_symmetry_space_group_name_Hall '-P 2ac 2n'
_cell_length_a 10.2311
_cell_length_b 5.6591
_cell_length_c 15.0718
_cell_angle_alpha 90.00
_cell_angle_beta 90.00
_cell_angle_gamma 90.00
loop_
_atom_site_label
_atom_site_type_symbol
_atom_site_fract_x
_atom_site_fract_y
_atom_site_fract_z
_atom_site_occupancy
Ba1 Ba 0.0531 0.2500 0.1007 1
Ba2 Ba 0.1699 0.2500 0.5408 1
Ba3 Ba 0.2348 0.7500 0.3196 1
Al1 Al 0.0239 0.7500 0.6688 1
F1 F 0.0445 0.0190 0.4060 1
F2 F 0.0849 0.5212 0.7413 1
F3 F 0.1334 0.2500 0.2735 1
F4 F 0.1432 0.7500 0.1523 1
F5 F 0.1487 0.0030 0.9562 1
F6 F 0.1726 0.7500 0.6006 1
```

Largest 10 diffraction maxima, most intense first, 2θ from 10° to 90°:
- d 3.530, I 100
- d 3.680, I 79
- d 2.209, I 36
- d 2.829, I 28
- d 2.012, I 25
- d 4.138, I 24
- d 2.155, I 24
- d 2.279, I 23
- d 3.389, I 23
- d 2.999, I 20

---

[3]
BaAlF5: calculated powder X-ray diffraction pattern (Cu Kα), based on a DFT-relaxed cell (PBE, the Materials Project).
Neutral-atom scattering factors, no anomalous dispersion.

```
data_BaAlF5
_symmetry_space_group_name_H-M 'P 1'
_symmetry_Int_Tables_number 1
_symmetry_space_group_name_Hall 'P 1'
_cell_length_a 5.2949
_cell_length_b 7.5058
_cell_length_c 15.1509
_cell_angle_alpha 79.42
_cell_angle_beta 88.48
_cell_angle_gamma 88.13
loop_
_atom_site_label
_atom_site_type_symbol
_atom_site_fract_x
_atom_site_fract_y
_atom_site_fract_z
_atom_site_occupancy
Ba1 Ba 0.0000 0.0000 0.0000 1
Ba2 Ba 0.0155 0.3308 0.6740 1
Ba3 Ba 0.0484 0.1747 0.3585 1
Ba4 Ba 0.4695 0.6834 0.2473 1
Ba5 Ba 0.4978 0.5263 0.9313 1
Ba6 Ba 0.5150 0.8583 0.6057 1
Al1 Al 0.0011 0.7747 0.7761 1
Al2 Al 0.0124 0.4599 0.1246 1
Al3 Al 0.4920 0.0839 0.8297 1
Al4 Al 0.5050 0.3984 0.4812 1
Al5 Al 0.5294 0.1327 0.1609 1
Al6 Al 0.9885 0.7255 0.4447 1
F1 F 0.0051 0.9172 0.6658 1
F2 F 0.0211 0.8110 0.3267 1
F3 F 0.0617 0.3588 0.0275 1
F4 F 0.2080 0.5313 0.4298 1
F5 F 0.2119 0.9526 0.8071 1
F6 F 0.2147 0.6466 0.0809 1
F7 F 0.2522 0.8593 0.4628 1
F8 F 0.2658 0.9989 0.1429 1
F9 F 0.2683 0.2487 0.8592 1
F10 F 0.2698 0.6417 0.7523 1
F11 F 0.3032 0.2113 0.5246 1
F12 F 0.3099 0.3267 0.1759 1
F13 F 0.4551 0.4996 0.5784 1
F14 F 0.4922 0.9408 0.9398 1
F15 F 0.4962 0.1800 0.7116 1
F16 F 0.4967 0.0470 0.2790 1
F17 F 0.5293 0.3334 0.3714 1
F18 F 0.5706 0.2211 0.0432 1
F19 F 0.7041 0.5950 0.4241 1
F20 F 0.7117 0.9062 0.7978 1
F21 F 0.7347 0.5873 0.0847 1
F22 F 0.7374 0.9411 0.1495 1
F23 F 0.7493 0.2157 0.8520 1
F24 F 0.7803 0.9169 0.4562 1
F25 F 0.7826 0.2708 0.5213 1
F26 F 0.7915 0.6092 0.7488 1
F27 F 0.8135 0.2629 0.1817 1
F28 F 0.9482 0.6369 0.5621 1
F29 F 0.9887 0.5247 0.2344 1
F30 F 0.9972 0.6803 0.8943 1
```

Largest 10 diffraction maxima, most intense first, 2θ from 10° to 90°:
- d 3.577, I 100
- d 2.231, I 65
- d 3.436, I 54
- d 3.658, I 48
- d 3.986, I 41
- d 2.315, I 41
- d 2.646, I 37
- d 2.092, I 33
- d 3.018, I 33
- d 3.835, I 32

---

[4]
BaLiMg2AlSi3O10F2: calculated powder X-ray diffraction pattern (Cu Kα), based on a DFT-relaxed cell (PBE, the Materials Project).
Neutral-atom scattering factors, no anomalous dispersion.

```
data_BaLiMg2AlSi3O10F2
_symmetry_space_group_name_H-M 'P 1'
_symmetry_Int_Tables_number 1
_symmetry_space_group_name_Hall 'P 1'
_cell_length_a 5.3075
_cell_length_b 5.3182
_cell_length_c 10.2960
_cell_angle_alpha 95.56
_cell_angle_beta 94.66
_cell_angle_gamma 119.83
loop_
_atom_site_label
_atom_site_type_symbol
_atom_site_fract_x
_atom_site_fract_y
_atom_site_fract_z
_atom_site_occupancy
Ba1 Ba 0.0000 0.0000 0.0000 1
Li1 Li 0.5012 0.5075 0.5323 1
Mg1 Mg 0.1770 0.8436 0.5294 1
Mg2 Mg 0.8479 0.1792 0.5286 1
Al1 Al 0.2673 0.6003 0.7940 1
Si1 Si 0.4179 0.7543 0.2559 1
Si2 Si 0.6046 0.2678 0.8050 1
Si3 Si 0.7509 0.4168 0.2557 1
O1 O 0.0622 0.5785 0.1886 1
O2 O 0.2031 0.5444 0.6262 1
O3 O 0.4333 0.9696 0.8739 1
O4 O 0.4738 0.8205 0.4123 1
O5 O 0.4962 0.4862 0.8710 1
O6 O 0.5444 0.5445 0.1908 1
O7 O 0.5503 0.2053 0.6457 1
O8 O 0.5785 0.0611 0.1868 1
O9 O 0.8079 0.4673 0.4120 1
O10 O 0.9513 0.4229 0.8732 1
F1 F 0.1272 0.1179 0.4182 1
F2 F 0.8829 0.8844 0.6301 1
```

Largest 10 diffraction maxima, most intense first, 2θ from 10° to 90°:
- d 2.622, I 100
- d 3.671, I 96
- d 3.148, I 85
- d 2.646, I 84
- d 3.691, I 83
- d 3.159, I 82
- d 3.387, I 70
- d 3.932, I 69
- d 3.419, I 67
- d 4.200, I 48

---

Copy entry 1 word for word.
BaAlF5: calculated powder X-ray diffraction pattern (Cu Kα), based on a DFT-relaxed cell (PBE, the Materials Project).
Neutral-atom scattering factors, no anomalous dispersion.

```
data_BaAlF5
_symmetry_space_group_name_H-M 'P 21 21 21'
_symmetry_Int_Tables_number 19
_symmetry_space_group_name_Hall 'P 2ac 2ab'
_cell_length_a 5.0906
_cell_length_b 5.6827
_cell_length_c 13.9406
_cell_angle_alpha 90.00
_cell_angle_beta 90.00
_cell_angle_gamma 90.00
loop_
_atom_site_label
_atom_site_type_symbol
_atom_site_fract_x
_atom_site_fract_y
_atom_site_fract_z
_atom_site_occupancy
Ba1 Ba 0.2348 0.1607 0.3456 1
Al1 Al 0.1922 0.1564 0.0864 1
F1 F 0.0350 0.8321 0.4956 1
F2 F 0.0740 0.6470 0.3255 1
F3 F 0.0777 0.8942 0.0281 1
F4 F 0.1119 0.0171 0.6689 1
F5 F 0.2030 0.5728 0.6408 1
```

Largest 10 diffraction maxima, most intense first, 2θ from 10° to 90°:
- d 3.659, I 100
- d 2.189, I 43
- d 3.597, I 40
- d 3.792, I 38
- d 4.111, I 34
- d 2.246, I 31
- d 2.876, I 29
- d 2.784, I 28
- d 3.485, I 27
- d 2.078, I 22